# 1
Computed powder X-ray diffraction pattern
Compound: NdEr2Zn2
Radiation: Cu Kα (weighted mean of Kα1 and Kα2)
Structure: a cell relaxed with GGA-PBE
Lines closer than 0.1° are merged.

Crystal structure
Lattice parameters (Å, degrees): 5.220 15.340 6.229 90.00 90.00 90.00
Space group Cmc2_1 (No. 36)
Asymmetric unit:
Nd  0.000  0.085  0.000 [4 per cell]
Er  0.000  0.299  0.763 [4 per cell]
Er  0.000  0.459  0.145 [4 per cell]
Zn  0.000  0.128  0.495 [4 per cell]
Zn  0.000  0.281  0.269 [4 per cell]

Main lines, in order of rising 2θ (10° ≤ 2θ ≤ 90°):
index  d/Å  I (rel.)
0 4 1  3.266  44
1 3 1  3.151  74
0 2 2  2.886  54
1 5 0  2.645  100
1 1 2  2.635  99
2 0 0  2.610  94
1 5 1  2.435  58
1 3 2  2.370  45
2 2 2  1.936  34
3 5 0  1.513  36

# 2
Computed powder X-ray diffraction pattern
Compound: Li2CuAg4
Radiation: Cu Kα (weighted mean of Kα1 and Kα2)
Structure: a cell relaxed with GGA-PBE
Lines closer than 0.1° are merged.

Crystal structure
Lattice parameters (Å, degrees): 4.928 8.961 5.453 90.00 90.67 90.00
Space group P2_1/c (No. 14)
Asymmetric unit:
Li  0.240  0.041  0.442 [4 per cell]
Cu  0.500  0.000  0.000 [2 per cell]
Ag  0.033  0.159  0.969 [4 per cell]
Ag  0.454  0.740  0.780 [4 per cell]

Main lines, in order of rising 2θ (10° ≤ 2θ ≤ 90°):
index  d/Å  I (rel.)
0 1 1  4.658  100
0 2 0  4.481  83
2 0 0  2.464  64
1 0 -2  2.398  24
1 0 2  2.375  63
1 3 -1  2.318  76
1 3 1  2.308  43
1 2 -2  2.114  42
1 2 2  2.098  54
1 4 0  2.039  62

# 3
Computed powder X-ray diffraction pattern
Compound: CeU2P3
Radiation: Cu Kα (weighted mean of Kα1 and Kα2)
Structure: a cell relaxed with GGA-PBE
Lines closer than 0.1° are merged.

Crystal structure
Lattice parameters (Å, degrees): 3.985 3.985 16.909 90.00 90.00 90.00
Space group I4/mmm (No. 139)
Asymmetric unit:
Ce  0.000  0.000  0.000 [2 per cell]
U  0.000  0.000  0.333 [4 per cell]
P  0.000  0.000  0.169 [4 per cell]
P  0.000  0.000  0.500 [2 per cell]

Main lines, in order of rising 2θ (10° ≤ 2θ ≤ 90°):
index  d/Å  I (rel.)
0 0 2  8.454  6
1 0 3  3.254  100
1 1 0  2.818  99
2 0 0  1.993  73
2 1 3  1.699  50
2 0 6  1.627  26
2 2 0  1.409  12
3 0 3  1.293  21
3 1 0  1.260  34
3 1 6  1.150  27

# 4
Computed powder X-ray diffraction pattern
Compound: UFe2Si2B
Radiation: Cu Kα (weighted mean of Kα1 and Kα2)
Structure: a cell relaxed with GGA-PBE
Lines closer than 0.1° are merged.

Crystal structure
Lattice parameters (Å, degrees): 3.877 3.877 5.194 90.00 90.00 90.00
Space group P4/mmm (No. 123)
Asymmetric unit:
U  0.000  0.000  0.000 [1 per cell]
Fe  0.000  0.500  0.500 [2 per cell]
Si  0.500  0.500  0.228 [2 per cell]
B  0.000  0.000  0.500 [1 per cell]

Main lines, in order of rising 2θ (10° ≤ 2θ ≤ 90°):
index  d/Å  I (rel.)
1 0 0  3.877  43
1 0 1  3.107  72
0 0 2  2.597  23
1 1 1  2.425  100
1 0 2  2.158  50
2 0 0  1.939  36
2 1 1  1.645  24
2 0 2  1.554  19
2 1 2  1.442  28
3 1 1  1.193  21

# 5
Computed powder X-ray diffraction pattern
Compound: PmAlCu
Radiation: Cu Kα (weighted mean of Kα1 and Kα2)
Structure: a cell relaxed with GGA-PBE
Lines closer than 0.1° are merged.

Crystal structure
Lattice parameters (Å, degrees): 4.4448 4.4448 3.7570 90.00 90.00 120.00
Space group P-6m2 (No. 187)
Asymmetric unit:
Pm  0.0000  0.0000  0.0000 [1 per cell]
Al  0.6667  0.3333  0.5000 [1 per cell]
Cu  0.3333  0.6667  0.5000 [1 per cell]

Main lines, in order of rising 2θ (10° ≤ 2θ ≤ 90°):
index  d/Å  I (rel.)
1 0 0  3.849  35
1 0 1  2.689  100
1 1 0  2.222  43
0 0 2  1.878  9
2 0 1  1.713  26
1 0 2  1.688  7
1 1 2  1.435  21
2 1 1  1.357  23
3 0 0  1.283  7
1 0 3  1.191  8

# 6
Computed powder X-ray diffraction pattern
Compound: Sr3Li2BiO6
Radiation: Cu Kα (weighted mean of Kα1 and Kα2)
Structure: a cell relaxed with GGA-PBE
Lines closer than 0.1° are merged.

Crystal structure
Lattice parameters (Å, degrees): 6.0308 6.0308 6.4788 90.00 90.00 120.00
Space group P-3m1 (No. 164)
Asymmetric unit:
Sr  0.0000  0.0000  0.0000 [1 per cell]
Sr  0.3333  0.6667  0.6044 [2 per cell]
Li  0.3333  0.6667  0.1838 [2 per cell]
Bi  0.0000  0.0000  0.5000 [1 per cell]
O  0.1696  0.3392  0.2927 [6 per cell]

Main lines, in order of rising 2θ (10° ≤ 2θ ≤ 90°):
index  d/Å  I (rel.)
0 0 1  6.479  81
1 0 0  5.223  87
1 1 0  3.015  100
0 1 2  2.753  69
1 1 1  2.734  46
1 1 2  2.207  55
2 0 2  2.033  45
1 2 2  1.686  33
0 1 4  1.547  21
1 2 4  1.252  21

# 7
Computed powder X-ray diffraction pattern
Compound: La2Tb4SmDy
Radiation: Cu Kα (weighted mean of Kα1 and Kα2)
Structure: a cell relaxed with GGA-PBE
Lines closer than 0.1° are merged.

Crystal structure
Lattice parameters (Å, degrees): 5.120 5.155 10.144 90.00 90.06 90.00
Space group P2/m (No. 10)
Asymmetric unit:
La  0.000  0.000  0.000 [1 per cell]
La  0.500  0.500  0.500 [1 per cell]
Tb  0.000  0.500  0.251 [2 per cell]
Tb  0.499  0.000  0.749 [2 per cell]
Sm  0.500  0.500  0.000 [1 per cell]
Dy  0.000  0.000  0.500 [1 per cell]

Main lines, in order of rising 2θ (10° ≤ 2θ ≤ 90°):
index  d/Å  I (rel.)
1 1 2  2.953  100
0 2 0  2.578  17
2 0 0  2.560  17
0 0 4  2.536  16
2 2 0  1.816  12
0 2 4  1.808  12
1 3 2  1.551  15
3 1 2  1.543  14
1 1 6  1.533  14
2 2 4  1.477  12

# 8
Computed powder X-ray diffraction pattern
Compound: Pr2Sm3Sn3
Radiation: Cu Kα (weighted mean of Kα1 and Kα2)
Structure: a cell relaxed with GGA-PBE
Lines closer than 0.1° are merged.

Crystal structure
Lattice parameters (Å, degrees): 9.2699 9.2699 6.8187 90.00 90.00 120.00
Space group P6_3/mcm (No. 193)
Asymmetric unit:
Pr  0.3333  0.6667  0.0000 [4 per cell]
Sm  0.0000  0.2399  0.2500 [6 per cell]
Sn  0.0000  0.3915  0.7500 [6 per cell]

Main lines, in order of rising 2θ (10° ≤ 2θ ≤ 90°):
index  d/Å  I (rel.)
0 0 2  3.409  18
1 0 2  3.138  19
2 1 0  3.034  31
2 1 1  2.772  100
1 1 2  2.746  75
3 0 0  2.676  39
2 2 2  1.917  20
2 1 3  1.819  29
4 0 2  1.730  13
5 0 2  1.453  18